[1]
Computed powder diffraction line list
Compound: Tm3Ir
Radiation: λ = 1.5418 Å (Cu Kα)
Structure: a DFT-relaxed cell (GGA-PBE, Alexandria)

Peak list (10 most intense, 2θ = 10–90°, most intense first)
31.69°, I = 100; 35.39°, I = 56; 32.96°, I = 39; 37.13°, I = 37; 44.94°, I = 30; 34.80°, I = 23; 65.06°, I = 18; 39.87°, I = 17; 61.23°, I = 16; 53.95°, I = 15

Atomic structure:
```
data_Tm3Ir
_symmetry_space_group_name_H-M 'P 1'
_symmetry_Int_Tables_number 1
_cell_length_a 8.691
_cell_length_b 8.691
_cell_length_c 8.691
_cell_angle_alpha 96.89
_cell_angle_beta 96.89
_cell_angle_gamma 139.48
loop_
_symmetry_equiv_pos_as_xyz
'x,y,z'
loop_
_atom_site_label
_atom_site_type_symbol
_atom_site_fract_x
_atom_site_fract_y
_atom_site_fract_z
Tm1 Tm 0.000 0.358 0.358
Tm2 Tm 0.000 0.642 0.642
Tm3 Tm 0.098 0.505 0.000
Tm4 Tm 0.158 0.158 0.809
Tm5 Tm 0.349 0.349 0.191
Tm6 Tm 0.358 0.000 0.358
Tm7 Tm 0.495 0.495 0.593
Tm8 Tm 0.505 0.098 0.000
Tm9 Tm 0.642 0.000 0.642
Tm10 Tm 0.651 0.842 0.000
Tm11 Tm 0.842 0.651 0.000
Tm12 Tm 0.902 0.902 0.407
Ir1 Ir 0.209 0.500 0.709
Ir2 Ir 0.500 0.209 0.709
Ir3 Ir 0.500 0.791 0.291
Ir4 Ir 0.791 0.500 0.291
```



[2]
Computed powder diffraction line list
Compound: YTm8Ir6
Radiation: λ = 1.5418 Å (Cu Kα)
Structure: a DFT-relaxed cell (GGA-PBE, Alexandria)

Peak list (10 most intense, 2θ = 10–90°, most intense first)
37.54°, I = 100; 38.00°, I = 91; 68.35°, I = 35; 54.48°, I = 34; 21.67°, I = 24; 67.43°, I = 18; 68.66°, I = 16; 26.46°, I = 13; 80.11°, I = 11; 81.26°, I = 10

Atomic structure:
```
data_YTm8Ir6
_symmetry_space_group_name_H-M 'P 1'
_symmetry_Int_Tables_number 1
_cell_length_a 7.569
_cell_length_b 7.569
_cell_length_c 7.569
_cell_angle_alpha 65.62
_cell_angle_beta 65.62
_cell_angle_gamma 65.62
loop_
_symmetry_equiv_pos_as_xyz
'x,y,z'
loop_
_atom_site_label
_atom_site_type_symbol
_atom_site_fract_x
_atom_site_fract_y
_atom_site_fract_z
Y1 Y 0.000 0.000 0.000
Tm1 Tm 0.111 0.778 0.448
Tm2 Tm 0.222 0.552 0.889
Tm3 Tm 0.334 0.334 0.334
Tm4 Tm 0.448 0.111 0.778
Tm5 Tm 0.552 0.889 0.222
Tm6 Tm 0.666 0.666 0.666
Tm7 Tm 0.778 0.448 0.111
Tm8 Tm 0.889 0.222 0.552
Ir1 Ir 0.057 0.392 0.722
Ir2 Ir 0.278 0.943 0.608
Ir3 Ir 0.392 0.722 0.057
Ir4 Ir 0.608 0.278 0.943
Ir5 Ir 0.722 0.057 0.392
Ir6 Ir 0.943 0.608 0.278
```